Structure and theoretical XRD peak list of UFe5Si3 (a crystal structure in the Materials Project, relaxed with GGA-PBE; Cu Kα X-rays).
Neutral-atom scattering factors, no anomalous dispersion.

Structural model:
Unit cell a=3.926 b=3.926 c=7.544 alpha=90.00 beta=90.00 gamma=90.00
Space group P4/mmm (No. 123)
Symmetry-distinct sites (fractional):
U1 0.000 0.000 0.000 (multiplicity 1)
Fe1 0.000 0.500 0.312 (multiplicity 4)
Fe2 0.500 0.500 0.500 (multiplicity 1)
Si1 0.000 0.000 0.500 (multiplicity 1)
Si2 0.500 0.500 0.158 (multiplicity 2)

Top 10 peaks for 2θ from 10° to 80°, by angle:
- 22.65°, intensity 19
- 25.58°, intensity 78
- 32.93°, intensity 40
- 34.42°, intensity 49
- 40.34°, intensity 100
- 42.70°, intensity 40
- 46.24°, intensity 58
- 53.59°, intensity 22
- 64.75°, intensity 23
- 67.47°, intensity 18